Starting from the PBE geometry in Alexandria, the X-ray powder pattern of CaBe2Cl6 was simulated for Cu Kα, 1.54184 Å.

The 10 most intense peaks (2θ from 5° to 70°), sorted by position:
| Position (°2θ) | I (rel.) | (hkl) |
| --- | --- | --- |
| 16.2 | 26.2 | 1 1 -1 |
| 20.7 | 28.6 | 2 2 0 |
| 21.4 | 17.5 | 0 2 1 |
| 29.1 | 12.8 | 2 2 1 |
| 29.3 | 26.6 | 4 0 0 |
| 29.5 | 18.4 | 1 3 1 |
| 31.0 | 100.0 | 3 3 -1 |
| 31.2 | 50.4 | 0 0 2 |
| 38.7 | 25.4 | 3 3 1 |
| 49.9 | 18.8 | 3 3 -3 |

Crystal structure
Unit cell a=13.1564 b=12.0999 c=6.1766 alpha=90.00 beta=111.98 gamma=90.00
Space group C2/c (No. 15)
Symmetry-distinct sites (fractional):
Ca 0.0000 0.2502 0.2500 (multiplicity 4)
Be 0.2115 0.0812 0.6604 (multiplicity 8)
Cl 0.1279 0.4115 0.1831 (multiplicity 8)
Cl 0.1292 0.2120 0.7003 (multiplicity 8)
Cl 0.1565 0.0597 0.2970 (multiplicity 8)